This entry pairs a crystal structure of K8P2Se with its theoretical powder diffractogram. Radiation: Cu Kα X-rays. Structure: a GGA-PBE-relaxed structure.
Intensities are scaled so that the largest is 100.

Crystal structure
```
data_K8P2Se
_chemical_formula_sum 'K16 P4 Se2'
_space_group_name_H-M_alt 'I m m m'
_space_group_IT_number 71
_space_group_name_Hall '-I 2 2'
_cell_length_a 5.525
_cell_length_b 8.001
_cell_length_c 16.859
_cell_angle_alpha 90.00
_cell_angle_beta 90.00
_cell_angle_gamma 90.00
loop_
_atom_site_label
_atom_site_fract_x
_atom_site_fract_y
_atom_site_fract_z
K1 0.000 0.000 0.184
K2 0.000 0.233 0.348
K3 0.000 0.282 0.000
P1 0.000 0.500 0.180
Se1 0.000 0.500 0.500
```

Top 8 peaks for 2θ from 10° to 80°, sorted by position:
- 2θ = 22.22°, I = 15, (1 1 2)
- 2θ = 31.87°, I = 100, (1 2 3)
- 2θ = 32.41°, I = 22, (2 0 0)
- 2θ = 45.34°, I = 8, (0 4 0)
- 2θ = 46.08°, I = 12, (2 0 6)
- 2θ = 56.79°, I = 15, (2 4 0)
- 2θ = 57.47°, I = 13, (3 2 3)
- 2θ = 66.62°, I = 7, (2 4 6)

=====

This entry pairs a crystal structure of KPSe3 with its theoretical powder diffractogram. Radiation: Cu Kα X-rays. Structure: a GGA-PBE-relaxed structure.
Intensities are scaled so that the largest is 100.

Crystal structure
```
data_KPSe3
_chemical_formula_sum 'K6 P6 Se18'
_space_group_name_H-M_alt 'P 31 2 1'
_space_group_IT_number 152
_space_group_name_Hall 'P 31 2"'
_cell_length_a 7.4688
_cell_length_b 7.4688
_cell_length_c 19.2349
_cell_angle_alpha 90.00
_cell_angle_beta 90.00
_cell_angle_gamma 120.00
loop_
_atom_site_label
_atom_site_fract_x
_atom_site_fract_y
_atom_site_fract_z
K1 0.2650 0.5357 0.2437
P1 0.0680 0.9199 0.1122
Se1 0.0228 0.7491 0.5588
Se2 0.0694 0.2555 0.7240
Se3 0.1939 0.7245 0.0845
```

Top 8 peaks for 2θ from 10° to 80°, sorted by position:
- 2θ = 13.69°, I = 31, (1 0 0)
- 2θ = 23.05°, I = 31, (1 0 4)
- 2θ = 27.60°, I = 29, (2 0 0)
- 2θ = 27.83°, I = 50, (0 0 6)
- 2θ = 27.98°, I = 100, (2 0 1)
- 2θ = 29.13°, I = 29, (2 0 2)
- 2θ = 36.29°, I = 44, (2 0 5)
- 2θ = 49.05°, I = 29, (2 2 1)

=====

This entry pairs a crystal structure of K7PSe6 with its theoretical powder diffractogram. Radiation: Cu Kα X-rays. Structure: a GGA-PBE-relaxed structure.
Intensities are scaled so that the largest is 100.

Crystal structure
```
data_K7PSe6
_chemical_formula_sum 'K28 P4 Se24'
_space_group_name_H-M_alt 'I b a m'
_space_group_IT_number 72
_space_group_name_Hall '-I 2 2c'
_cell_length_a 8.411
_cell_length_b 15.062
_cell_length_c 16.948
_cell_angle_alpha 90.00
_cell_angle_beta 90.00
_cell_angle_gamma 90.00
loop_
_atom_site_label
_atom_site_fract_x
_atom_site_fract_y
_atom_site_fract_z
K1 0.000 0.000 0.250
K2 0.150 0.285 0.119
K3 0.223 0.030 0.000
P1 0.000 0.500 0.250
Se1 0.068 0.165 0.500
Se2 0.158 0.412 0.322
```

Top 8 peaks for 2θ from 10° to 80°, sorted by position:
- 2θ = 15.74°, I = 51, (0 2 2)
- 2θ = 15.97°, I = 93, (1 1 2)
- 2θ = 22.33°, I = 74, (1 2 3)
- 2θ = 24.25°, I = 31, (1 1 4)
- 2θ = 26.46°, I = 100, (1 4 1)
- 2θ = 28.18°, I = 35, (2 3 1)
- 2θ = 31.96°, I = 82, (2 3 3)
- 2θ = 34.51°, I = 66, (2 1 5)

=====

This entry pairs a crystal structure of KPSe4 with its theoretical powder diffractogram. Radiation: Cu Kα X-rays. Structure: a GGA-PBE-relaxed structure.
Intensities are scaled so that the largest is 100.

Crystal structure
```
data_KPSe4
_chemical_formula_sum 'K4 P4 Se16'
_space_group_name_H-M_alt 'A m a 2'
_space_group_IT_number 40
_space_group_name_Hall 'A 2 -2a'
_cell_length_a 8.611
_cell_length_b 10.531
_cell_length_c 8.172
_cell_angle_alpha 90.00
_cell_angle_beta 90.00
_cell_angle_gamma 90.00
loop_
_atom_site_label
_atom_site_fract_x
_atom_site_fract_y
_atom_site_fract_z
K1 0.000 0.000 0.000
P1 0.250 0.081 0.456
Se1 0.059 0.188 0.327
Se2 0.250 0.103 0.723
Se3 0.250 0.368 0.864
```

Top 8 peaks for 2θ from 10° to 80°, sorted by position:
- 2θ = 13.72°, I = 42, (0 1 1)
- 2θ = 21.75°, I = 72, (0 0 2)
- 2θ = 24.86°, I = 47, (2 1 1)
- 2θ = 27.65°, I = 100, (0 3 1)
- 2θ = 29.57°, I = 56, (1 3 1)
- 2θ = 34.19°, I = 82, (3 1 1)
- 2θ = 46.80°, I = 38, (3 4 0)
- 2θ = 58.14°, I = 39, (3 2 4)

=====

This entry pairs a crystal structure of KP3Se3 with its theoretical powder diffractogram. Radiation: Cu Kα X-rays. Structure: a GGA-PBE-relaxed structure.
Intensities are scaled so that the largest is 100.

Crystal structure
```
data_KP3Se3
_chemical_formula_sum 'K2 P6 Se6'
_space_group_name_H-M_alt 'P 1 21/m 1'
_space_group_IT_number 11
_space_group_name_Hall '-P 2yb'
_cell_length_a 9.340
_cell_length_b 4.522
_cell_length_c 9.345
_cell_angle_alpha 90.00
_cell_angle_beta 119.97
_cell_angle_gamma 90.00
loop_
_atom_site_label
_atom_site_fract_x
_atom_site_fract_y
_atom_site_fract_z
K1 0.166 0.250 0.333
P1 0.304 0.250 0.000
P2 0.306 0.750 0.805
P3 0.500 0.250 0.805
Se1 0.139 0.250 0.705
Se2 0.205 0.750 0.066
Se3 0.434 0.750 0.639
```

Top 8 peaks for 2θ from 10° to 80°, sorted by position:
- 2θ = 27.45°, I = 100, (2 1 -1)
- 2θ = 29.20°, I = 54, (2 0 1)
- 2θ = 29.63°, I = 70, (2 1 0)
- 2θ = 33.21°, I = 45, (3 0 0)
- 2θ = 39.87°, I = 41, (0 2 0)
- 2θ = 43.61°, I = 47, (4 1 -2)
- 2θ = 45.10°, I = 37, (3 1 1)
- 2θ = 53.34°, I = 37, (3 1 -5)

=====

This entry pairs a crystal structure of K2P3Se with its theoretical powder diffractogram. Radiation: Cu Kα X-rays. Structure: a GGA-PBE-relaxed structure.
Intensities are scaled so that the largest is 100.

Crystal structure
```
data_K2P3Se
_chemical_formula_sum 'K8 P12 Se4'
_space_group_name_H-M_alt 'P 1 21/c 1'
_space_group_IT_number 14
_space_group_name_Hall '-P 2ybc'
_cell_length_a 8.466
_cell_length_b 6.320
_cell_length_c 14.724
_cell_angle_alpha 90.00
_cell_angle_beta 98.15
_cell_angle_gamma 90.00
loop_
_atom_site_label
_atom_site_fract_x
_atom_site_fract_y
_atom_site_fract_z
K1 0.099 0.053 0.338
K2 0.384 0.237 0.614
P1 0.033 0.631 0.455
P2 0.252 0.001 0.908
P3 0.272 0.736 0.517
Se1 0.269 0.631 0.263
```

Top 8 peaks for 2θ from 10° to 80°, sorted by position:
- 2θ = 17.58°, I = 39, (1 1 0)
- 2θ = 18.11°, I = 26, (1 1 -1)
- 2θ = 19.10°, I = 32, (1 1 1)
- 2θ = 21.20°, I = 31, (2 0 0)
- 2θ = 25.99°, I = 38, (2 0 2)
- 2θ = 28.95°, I = 100, (1 1 -4)
- 2θ = 34.85°, I = 33, (3 1 -1)
- 2θ = 35.12°, I = 25, (3 1 0)